(1)
Theoretical powder XRD pattern of Sm4CrS7 for a wavelength of 1.5418 Å, from a crystal structure in Alexandria, relaxed with PBE.
Lines closer than 0.1° are merged.

Crystal structure
Unit cell a=10.5186 b=10.5186 c=6.6443 alpha=90.00 beta=90.00 gamma=120.00
Fractional positions:
Sm1 0.0000 0.0000 0.0000
Sm2 0.0000 0.0000 0.5000
Sm3 0.1238 0.7022 0.0023
Sm4 0.2978 0.4216 0.0023
Sm5 0.4216 0.1238 0.5023
Sm6 0.5784 0.8762 0.0023
Sm7 0.7022 0.5784 0.5023
Sm8 0.8762 0.2978 0.5023
Cr1 0.3333 0.6667 0.5861
Cr2 0.6667 0.3333 0.0861
S1 0.0549 0.2355 0.2502
S2 0.1173 0.4862 0.7513
S3 0.1807 0.9451 0.2502
S4 0.2355 0.1807 0.7502
S5 0.3333 0.6667 0.2243
S6 0.3689 0.8827 0.7513
S7 0.4862 0.3689 0.2513
S8 0.5138 0.6311 0.7513
S9 0.6311 0.1173 0.2513
S10 0.6667 0.3333 0.7243
S11 0.7645 0.8193 0.2502
S12 0.8193 0.0549 0.7502
S13 0.8827 0.5138 0.2513
S14 0.9451 0.7645 0.7502

Largest 10 diffraction maxima, by angle, 2θ from 10° to 90°:
two_theta, I/Imax
16.51, 34
21.55, 50
23.68, 37
25.88, 55
29.21, 41
37.62, 100
45.51, 19
45.64, 44
60.58, 23
79.02, 18

=====

(2)
Theoretical powder XRD pattern of Cr2Sn2S for a wavelength of 1.5418 Å, from a crystal structure in Alexandria, relaxed with PBE.
Lines closer than 0.1° are merged.

Crystal structure
Unit cell a=6.4675 b=6.4675 c=4.5995 alpha=90.00 beta=90.00 gamma=90.00
Fractional positions:
Cr1 0.1627 0.3373 0.0000
Cr2 0.3373 0.8373 0.0000
Cr3 0.6627 0.1627 0.0000
Cr4 0.8373 0.6627 0.0000
Sn1 0.1602 0.6602 0.5000
Sn2 0.3398 0.1602 0.5000
Sn3 0.6602 0.8398 0.5000
Sn4 0.8398 0.3398 0.5000
S1 0.0000 0.0000 0.0000
S2 0.5000 0.5000 0.0000

Largest 10 diffraction maxima, by angle, 2θ from 10° to 90°:
two_theta, I/Imax
27.55, 19
30.92, 12
36.70, 100
39.17, 21
44.29, 19
60.59, 15
60.75, 11
62.57, 16
69.38, 15
83.12, 12

=====

(3)
Theoretical powder XRD pattern of CrSnS4 for a wavelength of 1.5418 Å, from a crystal structure in Alexandria, relaxed with PBE.
Lines closer than 0.1° are merged.

Crystal structure
Unit cell a=5.5626 b=3.5681 c=6.2971 alpha=90.00 beta=91.08 gamma=90.00
Fractional positions:
Cr1 0.0000 0.0000 0.0000
Sn1 0.0000 0.5000 0.5000
S1 0.2363 0.5000 0.1507
S2 0.2516 0.0000 0.6971
S3 0.7484 0.0000 0.3029
S4 0.7637 0.5000 0.8493

Largest 10 diffraction maxima, by angle, 2θ from 10° to 90°:
two_theta, I/Imax
15.94, 100
28.76, 19
32.41, 42
33.18, 85
42.99, 16
43.49, 24
43.89, 39
50.45, 25
51.20, 13
57.68, 17

=====

(4)
Theoretical powder XRD pattern of CrSnS3 for a wavelength of 1.5418 Å, from a crystal structure in Alexandria, relaxed with PBE.
Lines closer than 0.1° are merged.

Crystal structure
Unit cell a=6.5283 b=3.6359 c=9.1761 alpha=90.00 beta=90.90 gamma=90.00
Fractional positions:
Cr1 0.0727 0.2500 0.1640
Cr2 0.9273 0.7500 0.8360
Sn1 0.4269 0.2500 0.8050
Sn2 0.5731 0.7500 0.1950
S1 0.0624 0.2500 0.6982
S2 0.2139 0.7500 0.0102
S3 0.3683 0.2500 0.3221
S4 0.6317 0.7500 0.6779
S5 0.7861 0.2500 0.9898
S6 0.9376 0.7500 0.3018

Largest 10 diffraction maxima, by angle, 2θ from 10° to 90°:
two_theta, I/Imax
19.35, 57
28.09, 17
29.69, 27
33.96, 52
34.21, 100
48.13, 15
48.78, 47
49.17, 29
50.18, 18
61.98, 17

=====

(5)
Theoretical powder XRD pattern of Cr5SnS8 for a wavelength of 1.5418 Å, from a crystal structure in Alexandria, relaxed with PBE.
Lines closer than 0.1° are merged.

Crystal structure
Unit cell a=9.2652 b=9.2652 c=8.6185 alpha=104.19 beta=104.19 gamma=21.43
Fractional positions:
Cr1 0.0000 0.0000 0.0000
Cr2 0.0436 0.0436 0.3623
Cr3 0.3595 0.3595 0.3046
Cr4 0.4085 0.4085 0.6651
Cr5 0.7007 0.7007 0.3312
Sn1 0.2358 0.2358 0.7863
S1 0.1247 0.1247 0.1840
S2 0.2751 0.2751 0.4944
S3 0.4656 0.4656 0.1840
S4 0.5298 0.5298 0.8431
S5 0.6173 0.6173 0.5095
S6 0.7862 0.7862 0.1595
S7 0.8750 0.8750 0.8275
S8 0.9391 0.9391 0.4910

Largest 10 diffraction maxima, by angle, 2θ from 10° to 90°:
two_theta, I/Imax
20.30, 39
21.29, 36
33.25, 100
34.79, 49
38.62, 31
41.57, 36
41.78, 28
47.50, 43
52.46, 30
53.16, 32

=====

(6)
Theoretical powder XRD pattern of TaTl2Cr2S6 for a wavelength of 1.5418 Å, from a crystal structure in Alexandria, relaxed with PBE.
Lines closer than 0.1° are merged.

Crystal structure
Unit cell a=5.7108 b=5.7108 c=8.3988 alpha=94.21 beta=94.21 gamma=120.77
Fractional positions:
Ta1 0.0000 0.0000 0.0000
Tl1 0.1663 0.8337 0.5000
Tl2 0.8337 0.1663 0.5000
Cr1 0.3652 0.6348 0.0000
Cr2 0.6348 0.3652 0.0000
S1 0.0328 0.3918 0.1635
S2 0.3036 0.3036 0.8110
S3 0.3918 0.0328 0.1635
S4 0.6082 0.9672 0.8365
S5 0.6964 0.6964 0.1890
S6 0.9672 0.6082 0.8365

Largest 10 diffraction maxima, by angle, 2θ from 10° to 90°:
two_theta, I/Imax
18.23, 61
20.84, 61
21.40, 79
26.35, 30
32.46, 39
34.05, 100
36.01, 49
37.16, 36
43.85, 41
47.51, 29